Computed powder X-ray diffraction pattern of KCr3O8 for Cu Kα (weighted mean of Kα1 and Kα2), from the GGA+U geometry in Alexandria.

Atomic structure:
abc: 5.1428 5.1428 23.9820
angles: 90.00 90.00 120.00
Space group R-3 (No. 148, hexagonal axes)
Unique sites:
1 K 0.0000 0.0000 0.0000 x3
2 Cr 0.0000 0.0000 0.2376 x6
3 Cr 0.0000 0.0000 0.5000 x3
4 O 0.0000 0.0000 0.3057 x6
5 O 0.0018 0.3834 0.8826 x18

Most intense lines, 2θ = 10–80°, in order of rising 2θ:
2θ = 11.1°, intensity 23
2θ = 24.9°, intensity 100
2θ = 33.6°, intensity 7
2θ = 34.9°, intensity 29
2θ = 36.1°, intensity 14
2θ = 43.3°, intensity 12
2θ = 51.1°, intensity 9
2θ = 56.8°, intensity 14
2θ = 58.5°, intensity 10
2θ = 62.6°, intensity 11